Theoretical powder diffractogram
Compound: BaCaCrF7
Radiation: copper Kα
Structure: DFT lattice parameters and positions (GGA+U)
Neutral-atom scattering factors, no anomalous dispersion.

Structural model:
abc: 5.5065 5.5482 19.9811
angles: 90.00 104.01 90.00
Space group P2/c (No. 13)
One atom of each set of equivalent atoms:
Ba 0.1852 0.2468 0.4315 [4 per cell]
Ca 0.0000 0.3279 0.7500 [2 per cell]
Ca 0.5000 0.2078 0.2500 [2 per cell]
Cr 0.3179 0.2239 0.6196 [4 per cell]
F 0.0019 0.2860 0.9446 [4 per cell]
F 0.1484 0.0237 0.6765 [4 per cell]
F 0.2362 0.3705 0.3086 [4 per cell]
F 0.2486 0.4959 0.6751 [4 per cell]
F 0.3475 0.0540 0.0633 [4 per cell]
F 0.3726 0.1306 0.8142 [4 per cell]
F 0.4714 0.4089 0.5608 [4 per cell]

Most intense lines, 2θ from 5° to 70°, low angle first:
2θ/deg, I_rel, h k l
22.76, 100, 1 1 -1
24.35, 82, 1 1 1
27.64, 44, 0 0 6
28.08, 42, 0 1 5
29.72, 36, 1 1 -5
38.72, 40, 1 2 2

=====

Theoretical powder diffractogram
Compound: Ba2CaCrO6
Radiation: copper Kα
Structure: DFT lattice parameters and positions (GGA+U)
Neutral-atom scattering factors, no anomalous dispersion.

Structural model:
abc: 8.3078 8.3078 8.3078
angles: 90.00 90.00 90.00
Space group Fm-3m (No. 225)
One atom of each set of equivalent atoms:
Ba 0.2500 0.2500 0.2500 [8 per cell]
Ca 0.0000 0.0000 0.0000 [4 per cell]
Cr 0.0000 0.0000 0.5000 [4 per cell]
O 0.0000 0.0000 0.2756 [24 per cell]

Most intense lines, 2θ from 5° to 70°, low angle first:
2θ/deg, I_rel, h k l
21.39, 17, 2 0 0
30.43, 100, 2 2 0
37.50, 24, 2 2 2
43.58, 34, 4 0 0
54.08, 37, 4 2 2
63.33, 20, 4 4 0

=====

Theoretical powder diffractogram
Compound: BaCaCrSbO6
Radiation: copper Kα
Structure: DFT lattice parameters and positions (GGA+U)
Neutral-atom scattering factors, no anomalous dispersion.

Structural model:
abc: 8.0482 8.0482 8.0482
angles: 90.00 90.00 90.00
Space group F-43m (No. 216)
One atom of each set of equivalent atoms:
Ba 0.0000 0.0000 0.0000 [4 per cell]
Ca 0.0000 0.0000 0.5000 [4 per cell]
Cr 0.2500 0.2500 0.7500 [4 per cell]
Sb 0.2500 0.2500 0.2500 [4 per cell]
O 0.0017 0.2500 0.2500 [24 per cell]

Most intense lines, 2θ from 5° to 70°, low angle first:
2θ/deg, I_rel, h k l
19.10, 28, 1 1 1
31.44, 100, 2 2 0
37.05, 16, 3 1 1
45.06, 35, 4 0 0
55.97, 38, 4 2 2
65.62, 21, 4 4 0

=====

Theoretical powder diffractogram
Compound: BaCaCrSnO6
Radiation: copper Kα
Structure: DFT lattice parameters and positions (GGA+U)
Neutral-atom scattering factors, no anomalous dispersion.

Structural model:
abc: 8.0562 8.0562 8.0562
angles: 90.00 90.00 90.00
Space group F-43m (No. 216)
One atom of each set of equivalent atoms:
Ba 0.0000 0.0000 0.0000 [4 per cell]
Ca 0.0000 0.0000 0.5000 [4 per cell]
Cr 0.2500 0.2500 0.7500 [4 per cell]
Sn 0.2500 0.2500 0.2500 [4 per cell]
O 0.0060 0.2500 0.7500 [24 per cell]

Most intense lines, 2θ from 5° to 70°, low angle first:
2θ/deg, I_rel, h k l
19.08, 26, 1 1 1
31.41, 100, 2 2 0
37.01, 16, 3 1 1
45.01, 35, 4 0 0
55.91, 39, 4 2 2
65.55, 21, 4 4 0

=====

Theoretical powder diffractogram
Compound: Ba2Ca2Tl2Cr3O10
Radiation: copper Kα
Structure: DFT lattice parameters and positions (GGA+U)
Neutral-atom scattering factors, no anomalous dispersion.

Structural model:
abc: 3.9238 3.9373 19.1554
angles: 95.89 95.74 90.06
Space group P1 (No. 1)
One atom of each set of equivalent atoms:
Ba 0.0000 0.0000 0.0000 [1 per cell]
Ba 0.2447 0.3058 0.5807 [1 per cell]
Ca 0.0899 0.0936 0.1963 [1 per cell]
Ca 0.1499 0.2004 0.3833 [1 per cell]
Tl 0.4089 0.4212 0.8507 [1 per cell]
Tl 0.8410 0.8641 0.7304 [1 per cell]
Cr 0.5505 0.5490 0.1044 [1 per cell]
Cr 0.6138 0.6424 0.2901 [1 per cell]
Cr 0.6922 0.7506 0.4758 [1 per cell]
O 0.0600 0.5563 0.1221 [1 per cell]
O 0.1097 0.6367 0.2835 [1 per cell]
O 0.1801 0.7372 0.4526 [1 per cell]
O 0.3375 0.4828 0.7229 [1 per cell]
O 0.5041 0.4987 0.0035 [1 per cell]
O 0.5599 0.0595 0.1260 [1 per cell]
O 0.6137 0.1447 0.2968 [1 per cell]
O 0.6833 0.2425 0.4589 [1 per cell]
O 0.7394 0.8029 0.5762 [1 per cell]
O 0.9106 0.0443 0.8572 [1 per cell]

Most intense lines, 2θ from 5° to 70°, low angle first:
2θ/deg, I_rel, h k l
25.52, 29, 1 0 2
28.05, 98, 1 0 3
31.12, 100, 1 0 -5
32.21, 84, 1 1 -1
32.56, 30, -1 1 1
33.08, 27, 0 0 7

=====

Theoretical powder diffractogram
Compound: Ba2CaCuMo2F14
Radiation: copper Kα
Structure: DFT lattice parameters and positions (GGA+U)
Neutral-atom scattering factors, no anomalous dispersion.

Structural model:
abc: 5.5398 7.7018 15.4902
angles: 90.48 90.05 111.05
Space group P1 (No. 1)
One atom of each set of equivalent atoms:
Ba 0.0000 0.0000 0.0000 [1 per cell]
Ba 0.1643 0.0003 0.4996 [1 per cell]
Ba 0.6315 0.2619 0.2530 [1 per cell]
Ba 0.7973 0.2636 0.7526 [1 per cell]
Ca 0.3213 0.6310 0.1264 [1 per cell]
Ca 0.4744 0.6312 0.6259 [1 per cell]
Cu 0.3976 0.6308 0.3762 [1 per cell]
Cu 0.3986 0.6318 0.8761 [1 per cell]
Mo 0.0503 0.8747 0.7518 [1 per cell]
Mo 0.7460 0.3886 0.0004 [1 per cell]
Mo 0.8068 0.3891 0.5001 [1 per cell]
Mo 0.9887 0.8735 0.2526 [1 per cell]
F 0.0211 0.3426 0.9188 [1 per cell]
F 0.0278 0.4663 0.3867 [1 per cell]
F 0.0406 0.1482 0.2794 [1 per cell]
F 0.0862 0.3930 0.5930 [1 per cell]
F 0.1942 0.7965 0.8651 [1 per cell]
F 0.2577 0.9618 0.1520 [1 per cell]
F 0.2739 0.1498 0.7773 [1 per cell]
F 0.2792 0.5453 0.7615 [1 per cell]
F 0.3098 0.9204 0.3343 [1 per cell]
F 0.3229 0.8689 0.6585 [1 per cell]
F 0.3632 0.7169 0.4905 [1 per cell]
F 0.4320 0.5442 0.2616 [1 per cell]
F 0.4695 0.3923 0.0927 [1 per cell]
F 0.4857 0.3423 0.4184 [1 per cell]
F 0.5167 0.7181 0.9908 [1 per cell]
F 0.5238 0.1138 0.9735 [1 per cell]
F 0.5377 0.3021 0.6007 [1 per cell]
F 0.6044 0.4678 0.8868 [1 per cell]
F 0.7087 0.8694 0.1599 [1 per cell]
F 0.7538 0.1139 0.4739 [1 per cell]
F 0.7672 0.7954 0.3658 [1 per cell]
F 0.7782 0.9224 0.8341 [1 per cell]
F 0.7983 0.6062 0.7174 [1 per cell]
F 0.8232 0.6575 0.5346 [1 per cell]
F 0.8670 0.9621 0.6514 [1 per cell]
F 0.9263 0.3000 0.1012 [1 per cell]
F 0.9730 0.6053 0.2179 [1 per cell]
F 0.9970 0.6570 0.0354 [1 per cell]

Most intense lines, 2θ from 5° to 70°, low angle first:
2θ/deg, I_rel, h k l
22.97, 32, 0 0 4
24.56, 100, 1 1 0
27.09, 26, 1 -2 2
28.78, 57, 1 -1 4
39.48, 20, 0 3 2
53.51, 26, 1 -2 8

=====

Theoretical powder diffractogram
Compound: Ba2CaV2CuF14
Radiation: copper Kα
Structure: DFT lattice parameters and positions (GGA+U)
Neutral-atom scattering factors, no anomalous dispersion.

Structural model:
abc: 14.1349 5.4640 15.1368
angles: 90.00 91.52 90.00
Space group C2/c (No. 15)
One atom of each set of equivalent atoms:
Ba 0.1857 0.0772 0.1241 [8 per cell]
Ca 0.0000 0.4218 0.7500 [4 per cell]
V 0.1221 0.0253 0.3758 [8 per cell]
Cu 0.0000 0.5000 0.0000 [4 per cell]
F 0.0066 0.0786 0.6548 [8 per cell]
F 0.0512 0.4351 0.1160 [8 per cell]
F 0.0844 0.2074 0.4826 [8 per cell]
F 0.1180 0.2926 0.2881 [8 per cell]
F 0.1449 0.2568 0.9554 [8 per cell]
F 0.1605 0.1986 0.7779 [8 per cell]
F 0.2468 0.3923 0.6015 [8 per cell]

Most intense lines, 2θ from 5° to 70°, low angle first:
2θ/deg, I_rel, h k l
23.52, 24, 0 0 4
24.96, 100, 3 1 0
29.27, 34, 1 1 -4
29.54, 25, 1 1 4
38.21, 24, 2 0 6
39.78, 36, 2 2 3

=====

Theoretical powder diffractogram
Compound: BaCaDyVO6
Radiation: copper Kα
Structure: DFT lattice parameters and positions (GGA+U)
Neutral-atom scattering factors, no anomalous dispersion.

Structural model:
abc: 8.2441 8.2441 8.2441
angles: 90.00 90.00 90.00
Space group F-43m (No. 216)
One atom of each set of equivalent atoms:
Ba 0.0000 0.0000 0.0000 [4 per cell]
Ca 0.0000 0.0000 0.5000 [4 per cell]
Dy 0.2500 0.2500 0.7500 [4 per cell]
V 0.2500 0.2500 0.2500 [4 per cell]
O 0.0190 0.2500 0.2500 [24 per cell]

Most intense lines, 2θ from 5° to 70°, low angle first:
2θ/deg, I_rel, h k l
18.64, 30, 1 1 1
30.67, 100, 2 2 0
36.14, 22, 3 1 1
43.93, 33, 4 0 0
54.53, 39, 4 2 2
63.87, 20, 4 4 0

=====

Theoretical powder diffractogram
Compound: Ba2CaEr3Ni2O10
Radiation: copper Kα
Structure: DFT lattice parameters and positions (GGA+U)
Neutral-atom scattering factors, no anomalous dispersion.

Structural model:
abc: 6.9034 11.2850 6.9034
angles: 90.00 114.27 90.00
Space group C2 (No. 5)
One atom of each set of equivalent atoms:
Ba 0.2494 0.0000 0.2525 [4 per cell]
Ca 0.0000 0.2069 0.5000 [2 per cell]
Er 0.0000 0.2942 0.0000 [2 per cell]
Er 0.0000 0.7048 0.0000 [2 per cell]
Er 0.0000 0.7938 0.5000 [2 per cell]
Ni 0.2503 0.0022 0.7494 [4 per cell]
O 0.0000 0.4990 0.0000 [2 per cell]
O 0.0000 0.9970 0.5000 [2 per cell]
O 0.1194 0.6471 0.3614 [4 per cell]
O 0.1311 0.8520 0.8711 [4 per cell]
O 0.1360 0.3574 0.3622 [4 per cell]
O 0.1387 0.1460 0.8801 [4 per cell]

Most intense lines, 2θ from 5° to 70°, low angle first:
2θ/deg, I_rel, h k l
28.29, 31, 1 3 -1
30.84, 30, 2 0 -2
32.58, 100, 2 2 0
44.83, 18, 2 4 -2
55.96, 22, 4 2 -2
57.25, 22, 3 5 -1